Computed powder XRD pattern
Compound: TbCr2IrO8
Radiation: Cu Ka
Structure: a GGA+U-relaxed structure

Cell and atoms:
Unit cell a=4.708 b=6.328 c=4.715 alpha=90.00 beta=90.87 gamma=90.00
Fractional positions:
Tb 0.000 0.000 0.000
Cr 0.500 0.249 0.500
Cr 0.500 0.751 0.500
Ir 0.000 0.500 0.000
O 0.208 0.283 0.206
O 0.208 0.717 0.206
O 0.293 0.500 0.706
O 0.325 0.000 0.674
O 0.675 0.000 0.326
O 0.707 0.500 0.294
O 0.792 0.283 0.794
O 0.792 0.717 0.794

Principal peaks in the range 5 to 70 degrees two-theta, sorted by position:
| hkl | two_theta | I/Imax |
| --- | --- | --- |
| 1 0 0 | 18.84 | 65.0 |
| 1 0 -1 | 26.55 | 63.5 |
| 1 0 1 | 26.97 | 58.6 |
| 1 2 0 | 34.13 | 100.0 |
| 0 0 2 | 38.21 | 26.5 |
| 1 2 1 | 39.42 | 24.9 |
| 1 0 -2 | 42.65 | 15.4 |
| 2 2 -1 | 51.92 | 41.9 |
| 2 2 1 | 52.39 | 37.8 |
| 0 2 3 | 66.47 | 23.1 |